The following is a computed XRD peak list of Pa2Ge2Te. It was derived from a structure optimized by DFT (PBE), using Cu Kα (λ = 1.5418 Å).

```
data_Pa2Ge2Te
_chemical_formula_sum 'Pa4 Ge4 Te2'
_cell_length_a 4.3328
_cell_length_b 4.3328
_cell_length_c 15.3210
_cell_angle_alpha 90.00
_cell_angle_beta 90.00
_cell_angle_gamma 120.00
_space_group_name_H-M_alt 'P 63/m m c'
_space_group_IT_number 194
_space_group_name_Hall '-P 6c 2c'
loop_
_atom_site_label
_atom_site_type_symbol
_atom_site_fract_x
_atom_site_fract_y
_atom_site_fract_z
Pa1 Pa 0.0000 0.0000 0.1159
Ge1 Ge 0.3333 0.6667 0.0036
Te1 Te 0.3333 0.6667 0.7500
```

Largest 12 diffraction maxima, most intense first, 10° ≤ 2θ ≤ 80°:
- 2θ 33.4, I = 1000, hkl 1 0 4
- 2θ 41.7, I = 435, hkl 1 1 0
- 2θ 23.7, I = 344, hkl 1 0 0
- 2θ 54.5, I = 255, hkl 2 0 4
- 2θ 70.8, I = 235, hkl 2 1 4
- 2θ 65.0, I = 206, hkl 1 1 8
- 2θ 76.1, I = 96, hkl 3 0 0
- 2θ 47.5, I = 87, hkl 0 0 8
- 2θ 24.4, I = 74, hkl 1 0 1
- 2θ 65.9, I = 69, hkl 2 1 0
- 2θ 79.3, I = 61, hkl 1 0 12
- 2θ 53.7, I = 60, hkl 1 0 8

The following is a computed XRD peak list of Ti7NbCo5. It was derived from a structure optimized by DFT (PBE), using Cu Kα (λ = 1.5418 Å).

```
data_Ti7NbCo5
_chemical_formula_sum 'Ti14 Nb2 Co10'
_cell_length_a 5.0432
_cell_length_b 8.5616
_cell_length_c 8.6133
_cell_angle_alpha 90.00
_cell_angle_beta 90.00
_cell_angle_gamma 90.00
_space_group_name_H-M_alt 'I m m 2'
_space_group_IT_number 44
loop_
_space_group_symop_operation_xyz
'x,y,z'
'-x,-y,z'
'-x,y,z'
'x,-y,z'
'x+1/2,y+1/2,z+1/2'
'-x+1/2,-y+1/2,z+1/2'
'-x+1/2,y+1/2,z+1/2'
'x+1/2,-y+1/2,z+1/2'
loop_
_atom_site_label
_atom_site_type_symbol
_atom_site_fract_x
_atom_site_fract_y
_atom_site_fract_z
Ti1 Ti 0.0000 0.0000 0.0000
Ti2 Ti 0.0000 0.0000 0.3298
Ti3 Ti 0.0000 0.3131 0.1309
Ti4 Ti 0.0000 0.3391 0.6638
Ti5 Ti 0.0000 0.5000 0.3809
Nb1 Nb 0.0000 0.0000 0.6566
Co1 Co 0.0000 0.5000 0.9069
Co2 Co 0.2490 0.2549 0.3959
```

Largest 12 diffraction maxima, most intense first, 10° ≤ 2θ ≤ 80°:
- 2θ 42.0, I = 1000, hkl 0 0 4
- 2θ 41.5, I = 697, hkl 2 2 0
- 2θ 46.8, I = 477, hkl 2 2 2
- 2θ 76.7, I = 247, hkl 2 6 0
- 2θ 42.2, I = 234, hkl 0 4 0
- 2θ 36.2, I = 215, hkl 1 3 0
- 2θ 47.4, I = 179, hkl 0 4 2
- 2θ 36.0, I = 164, hkl 1 0 3
- 2θ 68.3, I = 142, hkl 3 3 2
- 2θ 60.5, I = 117, hkl 2 2 4
- 2θ 29.2, I = 105, hkl 1 1 2
- 2θ 20.6, I = 96, hkl 0 0 2